BRuRh: computed X-ray powder pattern (Cu Ka), based on a DFT-relaxed cell (PBE, Alexandria).
Neutral-atom scattering factors, no anomalous dispersion.

Structure:
Unit cell a=4.270 b=3.264 c=5.157 alpha=90.00 beta=90.49 gamma=90.00
Fractional coordinates of all 6 atoms:
B  0.000  0.000  0.000
B  0.491  0.500  0.579
Ru  0.159  0.500  0.232
Ru  0.488  0.000  0.851
Rh  0.663  0.000  0.346
Rh  0.986  0.500  0.723

Principal peaks in the range 15 to 90 degrees two-theta, by angle:
| Position (°2θ) | Rel. int. |
| --- | --- |
| 34.59 | 100 |
| 34.79 | 35 |
| 38.79 | 24 |
| 38.96 | 25 |
| 44.79 | 35 |
| 45.86 | 23 |
| 46.16 | 22 |
| 49.74 | 23 |
| 50.01 | 20 |
| 56.38 | 19 |



BRhS: computed X-ray powder pattern (Cu Ka), based on a DFT-relaxed cell (PBE, Alexandria).
Neutral-atom scattering factors, no anomalous dispersion.

Structure:
Unit cell a=5.691 b=7.291 c=4.726 alpha=90.00 beta=90.00 gamma=90.00
Fractional coordinates of all 12 atoms:
B  0.170  0.172  0.000
B  0.330  0.172  0.500
B  0.670  0.828  0.000
B  0.830  0.828  0.500
Rh  0.134  0.969  0.694
Rh  0.366  0.969  0.194
Rh  0.634  0.031  0.694
Rh  0.866  0.031  0.194
S  0.018  0.646  0.576
S  0.482  0.646  0.076
S  0.518  0.354  0.576
S  0.982  0.354  0.076

Principal peaks in the range 15 to 90 degrees two-theta, by angle:
| Position (°2θ) | Rel. int. |
| --- | --- |
| 24.42 | 62 |
| 27.41 | 45 |
| 36.87 | 70 |
| 36.99 | 36 |
| 38.09 | 32 |
| 38.96 | 100 |
| 40.12 | 49 |
| 44.72 | 64 |
| 45.76 | 33 |
| 53.22 | 37 |



BSbRh6: computed X-ray powder pattern (Cu Ka), based on a DFT-relaxed cell (PBE, Alexandria).
Neutral-atom scattering factors, no anomalous dispersion.

Structure:
Unit cell a=5.021 b=5.021 c=4.998 alpha=100.11 beta=100.11 gamma=99.68
Fractional coordinates of all 8 atoms:
B  0.000  0.000  0.000
Sb  0.500  0.500  0.500
Rh  0.101  0.712  0.711
Rh  0.288  0.288  0.901
Rh  0.288  0.899  0.289
Rh  0.712  0.101  0.711
Rh  0.712  0.712  0.099
Rh  0.899  0.288  0.289

Principal peaks in the range 15 to 90 degrees two-theta, by angle:
| Position (°2θ) | Rel. int. |
| --- | --- |
| 37.98 | 100 |
| 38.11 | 49 |
| 38.46 | 60 |
| 44.13 | 34 |
| 44.42 | 67 |
| 47.35 | 30 |
| 62.32 | 11 |
| 72.39 | 18 |
| 74.07 | 14 |
| 76.50 | 16 |